No. 1
The following is a computed XRD peak list of AlVP2CNO9. It was derived from a DFT-relaxed cell (PBE+U, the Materials Project), using Cu Kα (weighted mean of Kα1 and Kα2).
Lines closer than 0.1° are merged.

Crystal structure
```
data_AlVP2CNO9
_chemical_formula_sum 'Al2 V2 P4 C2 N2 O18'
_cell_length_a 7.922
_cell_length_b 8.283
_cell_length_c 8.845
_cell_angle_alpha 68.18
_cell_angle_beta 63.50
_cell_angle_gamma 83.51
_symmetry_space_group_name_H-M 'P 1'
_symmetry_Int_Tables_number 1
loop_
_symmetry_equiv_pos_as_xyz
'x,y,z'
loop_
_atom_site_label
_atom_site_fract_x
_atom_site_fract_y
_atom_site_fract_z
Al1 0.082 0.261 0.467
Al2 0.918 0.739 0.533
V1 0.447 0.269 0.811
V2 0.553 0.731 0.189
P1 0.232 0.497 0.586
P2 0.244 0.025 0.222
P3 0.756 0.975 0.778
P4 0.768 0.503 0.414
C1 0.309 0.788 0.798
C2 0.691 0.212 0.202
N1 0.172 0.721 0.931
N2 0.828 0.279 0.069
O1 0.038 0.578 0.637
O2 0.083 0.882 0.324
O3 0.216 0.145 0.327
O4 0.235 0.356 0.510
O5 0.249 0.132 0.035
O6 0.263 0.414 0.759
O7 0.390 0.641 0.446
O8 0.437 0.944 0.195
O9 0.452 0.634 0.123
O10 0.548 0.366 0.877
O11 0.563 0.056 0.805
O12 0.610 0.359 0.554
O13 0.737 0.586 0.241
O14 0.751 0.868 0.965
O15 0.765 0.644 0.490
O16 0.784 0.855 0.673
O17 0.917 0.118 0.676
O18 0.962 0.422 0.363
```

Top 10 peaks for 5 to 70 degrees two-theta, by intensity:
| 2theta | intensity |
| --- | --- |
| 14.9 | 100 |
| 13.3 | 77 |
| 26.7 | 51 |
| 26.3 | 47 |
| 13.0 | 43 |
| 25.4 | 43 |
| 30.5 | 22 |
| 27.2 | 20 |
| 12.0 | 15 |
| 32.9 | 10 |



No. 2
The following is a computed XRD peak list of CaCeAlFe2Si3O13. It was derived from a DFT-relaxed cell (PBE+U, the Materials Project), using Cu Kα (weighted mean of Kα1 and Kα2).
Lines closer than 0.1° are merged.

Crystal structure
```
data_CaCeAlFe2Si3O13
_chemical_formula_sum 'Ca2 Ce2 Al2 Fe4 Si6 O26'
_cell_length_a 9.014
_cell_length_b 5.857
_cell_length_c 10.222
_cell_angle_alpha 90.00
_cell_angle_beta 115.18
_cell_angle_gamma 90.00
_symmetry_space_group_name_H-M 'P 1'
_symmetry_Int_Tables_number 1
loop_
_symmetry_equiv_pos_as_xyz
'x,y,z'
loop_
_atom_site_label
_atom_site_fract_x
_atom_site_fract_y
_atom_site_fract_z
Ca1 0.120 0.250 0.350
Ca2 0.880 0.750 0.650
Ce1 0.307 0.750 0.938
Ce2 0.693 0.250 0.062
Al1 0.000 0.000 0.000
Al2 0.000 0.500 0.000
Fe1 0.422 0.250 0.727
Fe2 0.500 0.000 0.500
Fe3 0.500 0.500 0.500
Fe4 0.578 0.750 0.273
Si1 0.082 0.250 0.767
Si2 0.197 0.750 0.546
Si3 0.363 0.250 0.167
Si4 0.637 0.750 0.833
Si5 0.803 0.250 0.454
Si6 0.918 0.750 0.233
O1 0.008 0.750 0.413
O2 0.024 0.021 0.826
O3 0.024 0.479 0.826
O4 0.149 0.750 0.046
O5 0.161 0.250 0.082
O6 0.175 0.750 0.696
O7 0.278 0.250 0.826
O8 0.287 0.512 0.534
O9 0.287 0.988 0.534
O10 0.396 0.250 0.340
O11 0.427 0.750 0.366
O12 0.445 0.028 0.123
O13 0.445 0.472 0.123
O14 0.555 0.528 0.877
O15 0.555 0.972 0.877
O16 0.573 0.250 0.634
O17 0.604 0.750 0.660
O18 0.713 0.012 0.466
O19 0.713 0.488 0.466
O20 0.722 0.750 0.174
O21 0.825 0.250 0.304
O22 0.839 0.750 0.918
O23 0.851 0.250 0.954
O24 0.976 0.521 0.174
O25 0.976 0.979 0.174
O26 0.992 0.250 0.587
```

Top 10 peaks for 5 to 70 degrees two-theta, by intensity:
| 2theta | intensity |
| --- | --- |
| 30.1 | 100 |
| 24.9 | 46 |
| 18.7 | 36 |
| 32.8 | 36 |
| 30.5 | 30 |
| 32.5 | 29 |
| 10.8 | 28 |
| 55.7 | 28 |
| 47.1 | 27 |
| 55.4 | 24 |



No. 3
The following is a computed XRD peak list of Ca2AlCoO5. It was derived from a DFT-relaxed cell (PBE+U, the Materials Project), using Cu Kα (weighted mean of Kα1 and Kα2).
Lines closer than 0.1° are merged.

Crystal structure
```
data_Ca2AlCoO5
_chemical_formula_sum 'Ca4 Al2 Co2 O10'
_cell_length_a 8.301
_cell_length_b 8.301
_cell_length_c 5.590
_cell_angle_alpha 109.44
_cell_angle_beta 109.44
_cell_angle_gamma 36.91
_symmetry_space_group_name_H-M 'P 1'
_symmetry_Int_Tables_number 1
loop_
_symmetry_equiv_pos_as_xyz
'x,y,z'
loop_
_atom_site_label
_atom_site_fract_x
_atom_site_fract_y
_atom_site_fract_z
Ca1 0.110 0.110 0.080
Ca2 0.387 0.394 0.356
Ca3 0.606 0.613 0.644
Ca4 0.890 0.890 0.920
Al1 0.280 0.218 0.674
Al2 0.782 0.720 0.326
Co1 0.487 0.513 0.000
Co2 0.986 0.014 0.500
O1 0.106 0.183 0.710
O2 0.119 0.382 0.391
O3 0.225 0.747 0.736
O4 0.253 0.775 0.264
O5 0.306 0.393 0.923
O6 0.607 0.694 0.077
O7 0.618 0.881 0.609
O8 0.727 0.246 0.744
O9 0.754 0.273 0.256
O10 0.817 0.894 0.290
```

Top 10 peaks for 5 to 70 degrees two-theta, by intensity:
| 2theta | intensity |
| --- | --- |
| 12.0 | 100 |
| 33.8 | 85 |
| 33.7 | 83 |
| 47.5 | 71 |
| 34.1 | 67 |
| 32.0 | 56 |
| 60.8 | 35 |
| 49.4 | 31 |
| 43.7 | 29 |
| 43.8 | 28 |



No. 4
The following is a computed XRD peak list of Ca2AlCoO5. It was derived from a DFT-relaxed cell (PBE+U, the Materials Project), using Cu Kα (weighted mean of Kα1 and Kα2).
Lines closer than 0.1° are merged.

Crystal structure
```
data_Ca2AlCoO5
_chemical_formula_sum 'Ca4 Al2 Co2 O10'
_cell_length_a 5.273
_cell_length_b 5.575
_cell_length_c 8.296
_cell_angle_alpha 109.07
_cell_angle_beta 108.18
_cell_angle_gamma 91.02
_symmetry_space_group_name_H-M 'P 1'
_symmetry_Int_Tables_number 1
loop_
_symmetry_equiv_pos_as_xyz
'x,y,z'
loop_
_atom_site_label
_atom_site_fract_x
_atom_site_fract_y
_atom_site_fract_z
Ca1 0.000 0.000 0.000
Ca2 0.220 0.284 0.440
Ca3 0.503 0.565 0.000
Ca4 0.726 0.722 0.442
Al1 0.395 0.969 0.724
Al2 0.894 0.316 0.717
Co1 0.102 0.643 0.221
Co2 0.601 0.143 0.221
O1 0.218 0.717 0.523
O2 0.232 0.251 0.721
O3 0.331 0.392 0.193
O4 0.370 0.906 0.246
O5 0.434 0.936 0.934
O6 0.721 0.348 0.507
O7 0.731 0.031 0.719
O8 0.836 0.372 0.195
O9 0.876 0.900 0.248
O10 0.917 0.566 0.917
```

Top 10 peaks for 5 to 70 degrees two-theta, by intensity:
| 2theta | intensity |
| --- | --- |
| 12.0 | 100 |
| 33.6 | 86 |
| 33.9 | 84 |
| 34.0 | 68 |
| 32.1 | 56 |
| 47.0 | 37 |
| 47.9 | 35 |
| 49.4 | 32 |
| 24.1 | 23 |
| 60.4 | 18 |



No. 5
The following is a computed XRD peak list of Ca2AlCrO5. It was derived from a DFT-relaxed cell (PBE+U, the Materials Project), using Cu Kα (weighted mean of Kα1 and Kα2).
Lines closer than 0.1° are merged.

Crystal structure
```
data_Ca2AlCrO5
_chemical_formula_sum 'Ca4 Al2 Cr2 O10'
_cell_length_a 8.143
_cell_length_b 8.143
_cell_length_c 8.143
_cell_angle_alpha 57.72
_cell_angle_beta 139.06
_cell_angle_gamma 141.13
_symmetry_space_group_name_H-M 'P 1'
_symmetry_Int_Tables_number 1
loop_
_symmetry_equiv_pos_as_xyz
'x,y,z'
loop_
_atom_site_label
_atom_site_fract_x
_atom_site_fract_y
_atom_site_fract_z
Ca1 0.032 0.109 0.140
Ca2 0.032 0.391 0.423
Ca3 0.968 0.609 0.577
Ca4 0.968 0.891 0.860
Al1 0.388 0.715 0.172
Al2 0.543 0.215 0.828
Cr1 0.511 0.011 0.500
Cr2 0.511 0.511 0.000
O1 0.012 0.274 0.769
O2 0.012 0.743 0.238
O3 0.286 0.887 0.899
O4 0.460 0.176 0.574
O5 0.460 0.386 0.784
O6 0.505 0.243 0.231
O7 0.505 0.774 0.762
O8 0.602 0.676 0.216
O9 0.602 0.886 0.426
O10 0.988 0.387 0.101
```

Top 10 peaks for 5 to 70 degrees two-theta, by intensity:
| 2theta | intensity |
| --- | --- |
| 34.0 | 100 |
| 12.4 | 55 |
| 46.2 | 50 |
| 33.1 | 46 |
| 31.4 | 35 |
| 44.6 | 32 |
| 59.6 | 21 |
| 57.6 | 20 |
| 48.1 | 18 |
| 51.2 | 17 |